This entry pairs a crystal structure of Mg2CoN3 with its computed powder diffractogram. Radiation: Cu Kα (λ = 1.5418 Å). Structure: a structure optimized by DFT (PBE).
Intensities are scaled so that the largest is 100.

Most intense lines, 5° ≤ 2θ ≤ 70°, by angle:
| Position (°2θ) | Rel. int. |
| --- | --- |
| 17.39 | 30.4 |
| 17.50 | 65.4 |
| 26.32 | 76.9 |
| 30.29 | 52.5 |
| 30.49 | 100.0 |
| 36.34 | 45.9 |
| 36.50 | 100.0 |
| 39.80 | 80.3 |
| 50.95 | 33.3 |
| 53.93 | 62.8 |
| 54.31 | 33.5 |
| 69.08 | 48.3 |

Cell and atoms:
Unit cell a=5.864 b=5.864 c=4.530 alpha=90.00 beta=90.00 gamma=60.42
Fractional positions:
Mg: 0.007 0.667 0.500
Mg: 0.333 0.993 0.500
Mg: 0.667 0.007 0.000
Mg: 0.993 0.333 0.000
Co: 0.331 0.669 0.966
Co: 0.669 0.331 0.466
N: 0.032 0.668 0.017
N: 0.332 0.968 0.017
N: 0.381 0.619 0.576
N: 0.619 0.381 0.076
N: 0.668 0.032 0.517
N: 0.968 0.332 0.517